This entry pairs a crystal structure of Co4W9 with its calculated X-ray diffraction stick pattern. Radiation: Cu Kα X-rays. Structure: a structure optimized by DFT (GGA-PBE).
Peak positions follow from Bragg's law for the DFT cell and can differ from measured ones.

Peak list (10 most intense, 2θ from 10° to 80°, sorted by position)
Position (°2θ), Rel. int.
10.19, 39
20.47, 25
40.73, 59
40.84, 100
41.62, 34
43.30, 33
44.30, 55
47.65, 29
73.82, 33
75.37, 25

Atomic structure:
Unit cell a=9.1713 b=9.1713 c=9.1713 alpha=32.51 beta=32.51 gamma=32.51
Fractional positions:
Co  0.0433  0.0433  0.0433
Co  0.3332  0.3332  0.3332
Co  0.6668  0.6668  0.6668
Co  0.9567  0.9567  0.9567
W  0.0795  0.5833  0.5833
W  0.1509  0.1509  0.1509
W  0.4167  0.4167  0.9205
W  0.4167  0.9205  0.4167
W  0.5000  0.5000  0.5000
W  0.5833  0.0795  0.5833
W  0.5833  0.5833  0.0795
W  0.8491  0.8491  0.8491
W  0.9205  0.4167  0.4167